RbUCrIO10: calculated powder X-ray diffraction pattern (Cu Kα X-rays), based on the GGA+U geometry in Alexandria.
Neutral-atom scattering factors, no anomalous dispersion.

Crystal structure
```
RbUCrIO10
1.0
7.340 0.000 0.000
2.710 7.914 0.000
0.364 0.135 8.892
Rb U Cr I O
2 2 2 2 20
direct
0.178 0.156 0.364
0.822 0.844 0.636
0.359 0.340 0.790
0.641 0.660 0.210
0.296 0.923 0.911
0.704 0.077 0.089
0.139 0.701 0.206
0.861 0.299 0.794
0.009 0.446 0.754
0.060 0.848 0.358
0.114 0.866 0.866
0.197 0.555 0.629
0.234 0.140 0.901
0.301 0.473 0.955
0.355 0.846 0.094
0.374 0.567 0.275
0.411 0.208 0.624
0.476 0.841 0.798
0.524 0.159 0.202
0.589 0.792 0.376
0.626 0.433 0.725
0.645 0.154 0.906
0.699 0.527 0.045
0.766 0.860 0.099
0.803 0.445 0.371
0.886 0.134 0.134
0.940 0.152 0.642
0.991 0.554 0.246
```

Top 10 peaks for 10 to 80 degrees two-theta, by angle:
2θ 14.87, rel. 839; 2θ 15.10, rel. 1000; 2θ 19.97, rel. 749; 2θ 22.79, rel. 645; 2θ 24.48, rel. 788; 2θ 24.77, rel. 575; 2θ 27.27, rel. 622; 2θ 28.21, rel. 429; 2θ 30.42, rel. 691; 2θ 32.43, rel. 525



ThCrI2O10: calculated powder X-ray diffraction pattern (Cu Kα X-rays), based on the GGA+U geometry in Alexandria.
Neutral-atom scattering factors, no anomalous dispersion.

Crystal structure
```
ThCrI2O10
1.0
8.221 0.000 0.000
0.000 9.282 0.000
0.000 0.000 12.043
Th Cr I O
4 4 8 40
direct
0.233 0.024 0.169
0.267 0.976 0.669
0.733 0.476 0.831
0.767 0.524 0.331
0.163 0.558 0.699
0.337 0.442 0.199
0.663 0.942 0.301
0.837 0.058 0.801
0.136 0.263 0.447
0.194 0.716 0.409
0.306 0.284 0.909
0.364 0.737 0.947
0.636 0.237 0.553
0.694 0.784 0.591
0.806 0.216 0.091
0.864 0.763 0.053
0.016 0.985 0.764
0.022 0.172 0.090
0.066 0.849 0.060
0.091 0.149 0.567
0.118 0.130 0.334
0.147 0.735 0.700
0.174 0.871 0.502
0.195 0.488 0.292
0.203 0.817 0.279
0.212 0.507 0.571
0.288 0.493 0.071
0.297 0.183 0.779
0.305 0.512 0.792
0.326 0.129 0.002
0.353 0.265 0.200
0.382 0.870 0.834
0.409 0.851 0.067
0.434 0.151 0.560
0.478 0.828 0.590
0.484 0.015 0.264
0.516 0.515 0.236
0.522 0.328 0.910
0.566 0.651 0.940
0.591 0.351 0.433
0.618 0.370 0.666
0.647 0.765 0.300
0.674 0.629 0.498
0.695 0.012 0.708
0.703 0.683 0.721
0.712 0.993 0.429
0.788 0.007 0.929
0.797 0.317 0.221
0.805 0.988 0.208
0.826 0.371 0.998
0.853 0.235 0.800
0.882 0.630 0.166
0.909 0.649 0.933
0.934 0.349 0.440
0.978 0.672 0.410
0.984 0.485 0.736
```

Top 10 peaks for 10 to 80 degrees two-theta, by angle:
2θ 14.39, rel. 318; 2θ 17.56, rel. 357; 2θ 21.62, rel. 410; 2θ 22.86, rel. 270; 2θ 24.20, rel. 531; 2θ 26.56, rel. 1000; 2θ 27.98, rel. 239; 2θ 29.97, rel. 202; 2θ 31.65, rel. 328; 2θ 47.63, rel. 211



TlCrI2O8: calculated powder X-ray diffraction pattern (Cu Kα X-rays), based on the GGA+U geometry in Alexandria.
Neutral-atom scattering factors, no anomalous dispersion.

Crystal structure
```
TlCrI2O8
1.0
5.677 -2.783 0.000
5.677 2.783 0.000
-1.636 0.000 7.729
Tl Cr I O
1 1 2 8
direct
0.000 0.000 0.000
0.000 0.000 0.500
0.349 0.349 0.344
0.651 0.651 0.656
0.144 0.144 0.465
0.215 0.701 0.315
0.254 0.254 0.133
0.299 0.785 0.685
0.701 0.215 0.315
0.746 0.746 0.867
0.785 0.299 0.685
0.856 0.856 0.535
```

Top 10 peaks for 10 to 80 degrees two-theta, by angle:
2θ 15.96, rel. 193; 2θ 20.31, rel. 1000; 2θ 21.55, rel. 362; 2θ 25.20, rel. 390; 2θ 28.96, rel. 538; 2θ 30.58, rel. 541; 2θ 32.17, rel. 252; 2θ 41.29, rel. 240; 2θ 45.69, rel. 196; 2θ 55.43, rel. 187



Question: Number 3 is which compound?
Answer: TlCrI2O8